# 1
This entry pairs a crystal structure of TlH12N3 with its simulated powder diffraction line list. Radiation: Cu Ka. Structure: a cell relaxed with PBE.
Neutral-atom scattering factors, no anomalous dispersion.

Main lines, in order of falling intensity (15° ≤ 2θ ≤ 90°):
2θ = 15.20°, 5.828 Å, I 100, (0 1 2)
2θ = 21.56°, 4.121 Å, I 93, (1 1 0)
2θ = 34.41°, 2.606 Å, I 61, (1 2 2)
2θ = 26.52°, 3.361 Å, I 57, (2 0 2)
2θ = 30.68°, 2.914 Å, I 37, (0 2 4)
2θ = 37.85°, 2.377 Å, I 36, (3 0 0)
2θ = 46.80°, 1.941 Å, I 27, (0 3 6)
2θ = 49.45°, 1.843 Å, I 24, (1 3 4)

Structure:
```
data_TlH12N3
_chemical_formula_sum 'Tl6 H72 N18'
_symmetry_space_group_name_H-M 'R 3 c'
_symmetry_Int_Tables_number 161
_symmetry_space_group_name_Hall 'R 3 -2"c'
_cell_length_a 8.2291
_cell_length_b 8.2291
_cell_length_c 20.2523
_cell_angle_alpha 90.00
_cell_angle_beta 90.00
_cell_angle_gamma 120.00
loop_
_atom_site_label
_atom_site_fract_x
_atom_site_fract_y
_atom_site_fract_z
Tl1 0.0000 0.0000 0.0000
H1 0.0062 0.5006 0.0523
H2 0.0238 0.2665 0.3167
H3 0.0295 0.2670 0.8165
H4 0.1952 0.0946 0.6487
N1 0.0004 0.4975 0.0002
```

# 2
This entry pairs a crystal structure of Tm2H3N with its simulated powder diffraction line list. Radiation: Cu Ka. Structure: a cell relaxed with PBE.
Neutral-atom scattering factors, no anomalous dispersion.

Main lines, in order of falling intensity (15° ≤ 2θ ≤ 90°):
2θ = 29.74°, 3.004 Å, I 100, (1 1 1)
2θ = 34.48°, 2.601 Å, I 46, (2 0 0)
2θ = 58.87°, 1.569 Å, I 44, (3 1 1)
2θ = 49.56°, 1.839 Å, I 40, (2 2 0)
2θ = 80.47°, 1.194 Å, I 18, (3 3 1)
2θ = 83.01°, 1.163 Å, I 16, (4 2 0)
2θ = 61.77°, 1.502 Å, I 12, (2 2 2)
2θ = 72.70°, 1.301 Å, I 6, (4 0 0)

Structure:
```
data_Tm2H3N
_chemical_formula_sum 'Tm4 H6 N2'
_symmetry_space_group_name_H-M 'P n -3 m'
_symmetry_Int_Tables_number 224
_cell_length_a 5.2026
_cell_length_b 5.2026
_cell_length_c 5.2026
_cell_angle_alpha 90.00
_cell_angle_beta 90.00
_cell_angle_gamma 90.00
loop_
_symmetry_equiv_pos_as_xyz
'x,y,z'
'-x,-y,-z'
'-y,x+1/2,z+1/2'
'y,-x+1/2,-z+1/2'
'-x+1/2,-y+1/2,z'
'x+1/2,y+1/2,-z'
'y+1/2,-x,z+1/2'
'-y+1/2,x,-z+1/2'
'x,-y+1/2,-z+1/2'
'-x,y+1/2,z+1/2'
'-y,-x,-z'
'y,x,z'
'-x+1/2,y,-z+1/2'
'x+1/2,-y,z+1/2'
'y+1/2,x+1/2,-z'
'-y+1/2,-x+1/2,z'
'z,x,y'
'-z,-x,-y'
'z+1/2,-y,x+1/2'
'-z+1/2,y,-x+1/2'
'z,-x+1/2,-y+1/2'
'-z,x+1/2,y+1/2'
'z+1/2,y+1/2,-x'
'-z+1/2,-y+1/2,x'
'-z+1/2,x,-y+1/2'
'z+1/2,-x,y+1/2'
'-z,-y,-x'
'z,y,x'
'-z+1/2,-x+1/2,y'
'z+1/2,x+1/2,-y'
'-z,y+1/2,x+1/2'
'z,-y+1/2,-x+1/2'
'y,z,x'
'-y,-z,-x'
'x+1/2,z+1/2,-y'
'-x+1/2,-z+1/2,y'
'-y+1/2,z,-x+1/2'
'y+1/2,-z,x+1/2'
'-x,z+1/2,y+1/2'
'x,-z+1/2,-y+1/2'
'-y+1/2,-z+1/2,x'
'y+1/2,z+1/2,-x'
'-x,-z,-y'
'x,z,y'
'y,-z+1/2,-x+1/2'
'-y,z+1/2,x+1/2'
'x+1/2,-z,y+1/2'
'-x+1/2,z,-y+1/2'
loop_
_atom_site_label
_atom_site_fract_x
_atom_site_fract_y
_atom_site_fract_z
Tm1 0.0000 0.0000 0.0000
H1 0.2500 0.2500 0.7500
N1 0.2500 0.2500 0.2500
```

# 3
This entry pairs a crystal structure of V6HN3 with its simulated powder diffraction line list. Radiation: Cu Ka. Structure: a cell relaxed with PBE.
Neutral-atom scattering factors, no anomalous dispersion.

Main lines, in order of falling intensity (15° ≤ 2θ ≤ 90°):
2θ = 41.42°, 2.180 Å, I 100, (1 1 3)
2θ = 54.48°, 1.684 Å, I 21, (2 -1 6)
2θ = 39.21°, 2.298 Å, I 20, (0 0 6)
2θ = 65.26°, 1.430 Å, I 18, (3 0 0)
2θ = 72.56°, 1.303 Å, I 16, (2 -1 9)
2θ = 78.85°, 1.214 Å, I 13, (3 0 6)
2θ = 36.28°, 2.476 Å, I 13, (1 1 0)
2θ = 80.31°, 1.196 Å, I 12, (4 -2 3)

Structure:
```
data_V6HN3
_chemical_formula_sum 'V18 H3 N9'
_symmetry_space_group_name_H-M 'R 3'
_symmetry_Int_Tables_number 146
_symmetry_space_group_name_Hall 'R 3'
_cell_length_a 4.9526
_cell_length_b 4.9526
_cell_length_c 13.7870
_cell_angle_alpha 90.00
_cell_angle_beta 90.00
_cell_angle_gamma 120.00
loop_
_atom_site_label
_atom_site_fract_x
_atom_site_fract_y
_atom_site_fract_z
V1 0.0042 0.6683 0.0000
V2 0.0068 0.3499 0.4988
H1 0.0000 0.0000 0.4312
N1 0.0000 0.0000 0.2477
N2 0.0000 0.0000 0.7400
N3 0.0000 0.0000 0.9235
```